Simulated powder X-ray diffraction pattern
Compound: Li3Zn3Ag
Radiation: Cu Kα (weighted mean of Kα1 and Kα2)
Structure: a cell relaxed with PBE

Peak list (12 most intense, 10 to 90 degrees two-theta, sorted by position)
2θ/deg	intensity	index
16.34	13.6	1 1 0
25.97	25.9	2 0 1
28.50	100.0	2 1 1
33.03	18.1	2 2 0
37.06	29.6	3 1 0
38.94	26.7	3 1 1
44.17	85.5	3 2 1
47.40	9.3	4 0 0
53.41	11.5	4 2 0
54.84	11.0	4 1 2
61.65	22.4	4 1 3
76.55	29.3	5 3 2

Structure:
Lattice parameters (Å, degrees): 7.6717 7.6717 7.6717 90.00 90.00 90.00
Space group P2_13 (No. 198)
One atom of each set of equivalent atoms:
Li (0.0690, 0.2187, 0.8853) x12
Zn (0.0894, 0.5894, 0.9106) x4
Zn (0.1064, 0.8936, 0.3936) x4
Zn (0.2124, 0.2124, 0.2124) x4
Ag (0.0938, 0.4062, 0.5938) x4